Structure and calculated powder X-ray diffraction pattern of Li6Co2C4SO16 (a DFT-relaxed cell (GGA+U, Alexandria); Cu Kα).
Neutral-atom scattering factors, no anomalous dispersion.

Atomic structure:
```
Li6Co2C4SO16
1.0
0.0000 6.6301 6.6301
6.6301 0.0000 6.6301
6.6301 6.6301 0.0000
Li Co C S O
12 4 8 2 32
Direct
0.0921 0.0921 0.6579
0.0921 0.6579 0.0921
0.0921 0.6579 0.6579
0.3421 0.3421 0.9079
0.3421 0.9079 0.3421
0.3421 0.9079 0.9079
0.6579 0.0921 0.0921
0.6579 0.0921 0.6579
0.6579 0.6579 0.0921
0.9079 0.3421 0.3421
0.9079 0.3421 0.9079
0.9079 0.9079 0.3421
0.0000 0.5000 0.5000
0.5000 0.0000 0.5000
0.5000 0.5000 0.0000
0.5000 0.5000 0.5000
0.2757 0.2757 0.2757
0.2757 0.2757 0.6728
0.2757 0.6728 0.2757
0.3272 0.7243 0.7243
0.6728 0.2757 0.2757
0.7243 0.3272 0.7243
0.7243 0.7243 0.3272
0.7243 0.7243 0.7243
0.1250 0.1250 0.1250
0.8750 0.8750 0.8750
0.0599 0.0599 0.0599
0.0599 0.0599 0.3203
0.0599 0.3203 0.0599
0.1330 0.2841 0.6734
0.1330 0.4095 0.2841
0.1330 0.6734 0.4095
0.2841 0.1330 0.4095
0.2841 0.4095 0.6734
0.2841 0.6734 0.1330
0.3203 0.0599 0.0599
0.3266 0.5905 0.8670
0.3266 0.7159 0.5905
0.3266 0.8670 0.7159
0.4095 0.1330 0.6734
0.4095 0.2841 0.1330
0.4095 0.6734 0.2841
0.5905 0.3266 0.7159
0.5905 0.7159 0.8670
0.5905 0.8670 0.3266
0.6734 0.1330 0.2841
0.6734 0.2841 0.4095
0.6734 0.4095 0.1330
0.6797 0.9401 0.9401
0.7159 0.3266 0.8670
0.7159 0.5905 0.3266
0.7159 0.8670 0.5905
0.8670 0.3266 0.5905
0.8670 0.5905 0.7159
0.8670 0.7159 0.3266
0.9401 0.6797 0.9401
0.9401 0.9401 0.6797
0.9401 0.9401 0.9401
```

Principal peaks in the range 2θ = 10–90°, low angle first:
11.6°, d 7.656, I = 34
22.2°, d 3.998, I = 100
26.9°, d 3.315, I = 34
35.2°, d 2.552, I = 38
38.4°, d 2.344, I = 34
40.2°, d 2.241, I = 38
45.4°, d 1.999, I = 19
60.5°, d 1.531, I = 24